# Y2Mn2O7
Computed powder diffractogram, CuKα. Input: a DFT-relaxed cell (GGA+U, Alexandria).
Kinematic intensities with the Lorentz-polarization factor, no thermal factor.

Main lines, by angle (2θ = 15–90°):
2θ/deg, I_rel
30.80, 100
35.72, 22
39.05, 10
51.40, 51
61.14, 38
64.17, 8
83.88, 15
86.59, 11

Lattice parameters (Å, degrees): 7.1102 7.1102 7.1102 60.00 60.00 60.00
Positions (direct):
Y (0.0000, 0.0000, 0.0000)
Y (0.0000, 0.0000, 0.5000)
Y (0.0000, 0.5000, 0.0000)
Y (0.5000, 0.0000, 0.0000)
Mn (0.0000, 0.5000, 0.5000)
Mn (0.5000, 0.0000, 0.5000)
Mn (0.5000, 0.5000, 0.0000)
Mn (0.5000, 0.5000, 0.5000)
O (0.1250, 0.1250, 0.1250)
O (0.1701, 0.1701, 0.5799)
O (0.1701, 0.5799, 0.1701)
O (0.1701, 0.5799, 0.5799)
O (0.4201, 0.4201, 0.8299)
O (0.4201, 0.8299, 0.4201)
O (0.4201, 0.8299, 0.8299)
O (0.5799, 0.1701, 0.1701)
O (0.5799, 0.1701, 0.5799)
O (0.5799, 0.5799, 0.1701)
O (0.8299, 0.4201, 0.4201)
O (0.8299, 0.4201, 0.8299)
O (0.8299, 0.8299, 0.4201)
O (0.8750, 0.8750, 0.8750)